# 1
The following is a simulated powder diffraction line list of PmNd2Y12. It was derived from DFT lattice parameters and positions (PBE), using Cu Ka.
Intensities are scaled so that the largest is 100.

Cell and atoms:
```
PmNd2Y12
1.0
3.5452 -5.7192 0.0000
3.5452 5.7192 0.0000
0.0000 0.0000 24.9681
Pm Nd Y
2 4 24
Direct
0.2500 0.7500 0.0004 Pm
0.7500 0.2500 0.9996 Pm
0.2500 0.7500 0.2708 Nd
0.2500 0.7500 0.7341 Nd
0.7500 0.2500 0.2659 Nd
0.7500 0.2500 0.7292 Nd
0.0007 0.5007 0.1274 Y
0.0011 0.9989 0.9223 Y
0.0111 0.5111 0.5844 Y
0.0141 0.9859 0.4394 Y
0.2500 0.2500 0.1993 Y
0.2500 0.2500 0.3278 Y
0.2500 0.2500 0.6722 Y
0.2500 0.2500 0.8007 Y
0.4859 0.5141 0.4394 Y
0.4889 0.9889 0.5844 Y
0.4989 0.5011 0.9223 Y
0.4993 0.9993 0.1274 Y
0.5007 0.0007 0.8726 Y
0.5011 0.4989 0.0777 Y
0.5111 0.0111 0.4156 Y
0.5141 0.4859 0.5606 Y
0.7500 0.7500 0.1993 Y
0.7500 0.7500 0.3278 Y
0.7500 0.7500 0.6722 Y
0.7500 0.7500 0.8007 Y
0.9859 0.0141 0.5606 Y
0.9889 0.4889 0.4156 Y
0.9989 0.0011 0.0777 Y
0.9993 0.4993 0.8726 Y
```

Top 6 peaks for 2θ = 15–90°, in order of rising 2θ:
2θ = 28.96°, 3.083 Å, I 43
2θ = 29.51°, 3.027 Å, I 75
2θ = 30.52°, 2.929 Å, I 90
2θ = 31.28°, 2.860 Å, I 100
2θ = 32.69°, 2.740 Å, I 79
2θ = 33.01°, 2.714 Å, I 79

***

# 2
The following is a simulated powder diffraction line list of Pm8Nd3Y3. It was derived from DFT lattice parameters and positions (PBE), using Cu Ka.
Intensities are scaled so that the largest is 100.

Cell and atoms:
```
Pm8Nd3Y3
1.0
-2.8796 5.4987 7.6459
2.8796 -5.4987 7.6459
2.8796 5.4987 -7.6459
Pm Nd Y
8 3 3
Direct
0.0581 0.3969 0.6612 Pm
0.0629 0.2223 0.8406 Pm
0.2643 0.6031 0.6612 Pm
0.3817 0.2223 0.1594 Pm
0.6183 0.7777 0.8406 Pm
0.7357 0.3969 0.3388 Pm
0.9371 0.7777 0.1594 Pm
0.9419 0.6031 0.3388 Pm
0.3184 0.8184 0.5000 Nd
0.5000 0.5000 0.0000 Nd
0.6816 0.1816 0.5000 Nd
0.0000 0.0000 0.0000 Y
0.3004 0.0000 0.3004 Y
0.6996 0.0000 0.6996 Y
```

Top 6 peaks for 2θ = 15–90°, in order of rising 2θ:
2θ = 29.19°, 3.059 Å, I 39
2θ = 30.03°, 2.976 Å, I 26
2θ = 31.06°, 2.880 Å, I 55
2θ = 31.20°, 2.867 Å, I 100
2θ = 33.17°, 2.701 Å, I 52
2θ = 55.34°, 1.660 Å, I 20

***

# 3
The following is a simulated powder diffraction line list of Pm2Nd5Y3. It was derived from DFT lattice parameters and positions (PBE), using Cu Ka.
Intensities are scaled so that the largest is 100.

Cell and atoms:
```
Pm2Nd5Y3
1.0
-6.1410 8.7005 3.2683
6.1410 -8.7005 3.2683
6.1410 8.7005 -3.2683
Pm Nd Y
4 10 6
Direct
0.1689 0.0859 0.2548 Pm
0.3311 0.5859 0.9170 Pm
0.6689 0.4141 0.0830 Pm
0.8311 0.9141 0.7452 Pm
0.1692 0.7438 0.9130 Nd
0.2500 0.0020 0.7520 Nd
0.2500 0.4980 0.2480 Nd
0.2500 0.7500 0.5000 Nd
0.3308 0.2438 0.5746 Nd
0.6692 0.7562 0.4254 Nd
0.7500 0.2500 0.5000 Nd
0.7500 0.5020 0.7520 Nd
0.7500 0.9980 0.2480 Nd
0.8308 0.2562 0.0870 Nd
0.1681 0.4090 0.5770 Y
0.2500 0.2500 0.0000 Y
0.3319 0.9090 0.2409 Y
0.6681 0.0910 0.7591 Y
0.7500 0.7500 0.0000 Y
0.8319 0.5910 0.4230 Y
```

Top 6 peaks for 2θ = 15–90°, in order of rising 2θ:
2θ = 27.68°, 3.223 Å, I 100
2θ = 29.19°, 3.060 Å, I 89
2θ = 30.84°, 2.899 Å, I 99
2θ = 33.02°, 2.713 Å, I 69
2θ = 34.32°, 2.613 Å, I 51
2θ = 41.67°, 2.167 Å, I 24

***

# 4
The following is a simulated powder diffraction line list of Pm6NdY2. It was derived from DFT lattice parameters and positions (PBE), using Cu Ka.
Intensities are scaled so that the largest is 100.

Cell and atoms:
```
Pm6NdY2
1.0
10.9861 -4.9735 0.0000
10.9861 4.9735 0.0000
-1.5168 0.0000 5.5795
Pm Nd Y
12 2 4
Direct
0.0017 0.1683 0.3294 Pm
0.0818 0.5821 0.0822 Pm
0.1683 0.0017 0.8294 Pm
0.3323 0.4978 0.6591 Pm
0.4179 0.9182 0.4178 Pm
0.4978 0.3323 0.1591 Pm
0.5022 0.6677 0.8409 Pm
0.5821 0.0818 0.5822 Pm
0.6677 0.5022 0.3409 Pm
0.8317 0.9983 0.1706 Pm
0.9182 0.4179 0.9178 Pm
0.9983 0.8317 0.6706 Pm
0.2498 0.7502 0.2500 Nd
0.7502 0.2498 0.7500 Nd
0.1671 0.3330 0.5058 Y
0.3330 0.1671 0.0058 Y
0.6670 0.8329 0.9942 Y
0.8329 0.6670 0.4942 Y
```

Top 6 peaks for 2θ = 15–90°, in order of rising 2θ:
2θ = 30.97°, 2.887 Å, I 98
2θ = 31.08°, 2.878 Å, I 100
2θ = 44.39°, 2.041 Å, I 24
2θ = 55.09°, 1.667 Å, I 26
2θ = 55.32°, 1.661 Å, I 13
2θ = 61.60°, 1.506 Å, I 19

***

# 5
The following is a simulated powder diffraction line list of PmNd2Y7. It was derived from DFT lattice parameters and positions (PBE), using Cu Ka.
Intensities are scaled so that the largest is 100.

Cell and atoms:
```
PmNd2Y7
1.0
-2.7511 4.0351 7.7805
2.7511 -4.0351 7.7805
2.7511 4.0351 -7.7805
Pm Nd Y
1 2 7
Direct
0.0000 0.0000 0.0000 Pm
0.2116 0.2116 0.0000 Nd
0.7884 0.7884 0.0000 Nd
0.0678 0.3675 0.7003 Y
0.3328 0.6325 0.7003 Y
0.3480 0.8480 0.5000 Y
0.5000 0.5000 0.0000 Y
0.6520 0.1520 0.5000 Y
0.6672 0.3675 0.2997 Y
0.9322 0.6325 0.2997 Y
```

Top 6 peaks for 2θ = 15–90°, in order of rising 2θ:
2θ = 28.02°, 3.185 Å, I 47
2θ = 30.24°, 2.956 Å, I 89
2θ = 31.96°, 2.801 Å, I 27
2θ = 32.51°, 2.754 Å, I 100
2θ = 37.21°, 2.417 Å, I 24
2θ = 56.61°, 1.626 Å, I 26

***

# 6
The following is a simulated powder diffraction line list of Pm4NdY6. It was derived from DFT lattice parameters and positions (PBE), using Cu Ka.
Intensities are scaled so that the largest is 100.

Cell and atoms:
```
Pm4NdY6
1.0
2.9050 -4.8687 0.0000
2.9050 4.8687 0.0000
0.0000 0.0000 26.0793
Pm Nd Y
8 2 12
Direct
0.0300 0.9700 0.6218 Pm
0.0300 0.9700 0.8782 Pm
0.3429 0.6571 0.5435 Pm
0.3429 0.6571 0.9565 Pm
0.6571 0.3429 0.0435 Pm
0.6571 0.3429 0.4565 Pm
0.9700 0.0300 0.1218 Pm
0.9700 0.0300 0.3782 Pm
0.3163 0.6837 0.2500 Nd
0.6837 0.3163 0.7500 Nd
0.0000 0.0000 0.0000 Y
0.0000 0.0000 0.5000 Y
0.0184 0.9816 0.7500 Y
0.3108 0.6892 0.1031 Y
0.3108 0.6892 0.3969 Y
0.3559 0.6441 0.6816 Y
0.3559 0.6441 0.8184 Y
0.6441 0.3559 0.1816 Y
0.6441 0.3559 0.3184 Y
0.6892 0.3108 0.6031 Y
0.6892 0.3108 0.8969 Y
0.9816 0.0184 0.2500 Y
```

Top 6 peaks for 2θ = 15–90°, in order of rising 2θ:
2θ = 29.93°, 2.985 Å, I 63
2θ = 30.21°, 2.959 Å, I 47
2θ = 30.78°, 2.905 Å, I 62
2θ = 31.57°, 2.834 Å, I 100
2θ = 32.82°, 2.729 Å, I 43
2θ = 43.67°, 2.073 Å, I 34

***

# 7
The following is a simulated powder diffraction line list of PmNd3Y7. It was derived from DFT lattice parameters and positions (PBE), using Cu Ka.
Intensities are scaled so that the largest is 100.

Cell and atoms:
```
PmNd3Y7
1.0
6.9944 0.0000 0.0000
0.0000 5.5874 0.0000
-3.4521 0.0000 9.5610
Pm Nd Y
1 3 7
Direct
0.0000 0.0000 0.0000 Pm
0.2175 0.5000 0.5013 Nd
0.5000 0.0000 0.0000 Nd
0.7825 0.5000 0.4987 Nd
0.0821 0.0000 0.6705 Y
0.1819 0.5000 0.8637 Y
0.3548 0.5000 0.2130 Y
0.5000 0.0000 0.5000 Y
0.6452 0.5000 0.7870 Y
0.8181 0.5000 0.1363 Y
0.9179 0.0000 0.3295 Y
```

Top 6 peaks for 2θ = 15–90°, in order of rising 2θ:
2θ = 31.09°, 2.876 Å, I 28
2θ = 31.60°, 2.831 Å, I 100
2θ = 32.04°, 2.794 Å, I 38
2θ = 32.34°, 2.768 Å, I 44
2θ = 56.83°, 1.620 Å, I 16
2θ = 57.26°, 1.609 Å, I 19

***

# 8
The following is a simulated powder diffraction line list of Pm10Nd4Y. It was derived from DFT lattice parameters and positions (PBE), using Cu Ka.
Intensities are scaled so that the largest is 100.

Cell and atoms:
```
Pm10Nd4Y
1.0
-4.9526 4.9526 5.8332
4.9526 -4.9526 5.8332
4.9526 4.9526 -5.8332
Pm Nd Y
10 4 1
Direct
0.0428 0.9339 0.6512 Pm
0.0661 0.7172 0.1089 Pm
0.2500 0.7500 0.5000 Pm
0.2828 0.3917 0.3488 Pm
0.3917 0.0428 0.1089 Pm
0.6083 0.9572 0.8911 Pm
0.7172 0.6083 0.6512 Pm
0.7500 0.2500 0.5000 Pm
0.9339 0.2828 0.8911 Pm
0.9572 0.0661 0.3488 Pm
0.1839 0.5664 0.7503 Nd
0.4336 0.1839 0.6174 Nd
0.5664 0.8161 0.3826 Nd
0.8161 0.4336 0.2497 Nd
0.0000 0.0000 0.0000 Y
```

Top 6 peaks for 2θ = 15–90°, in order of rising 2θ:
2θ = 24.59°, 3.620 Å, I 24
2θ = 28.50°, 3.132 Å, I 66
2θ = 30.59°, 2.922 Å, I 100
2θ = 32.44°, 2.760 Å, I 37
2θ = 40.74°, 2.215 Å, I 19
2θ = 55.64°, 1.652 Å, I 22

***

# 9
The following is a simulated powder diffraction line list of Pm2NdY3. It was derived from DFT lattice parameters and positions (PBE), using Cu Ka.
Intensities are scaled so that the largest is 100.

Cell and atoms:
```
Pm2NdY3
1.0
4.5267 -4.9730 0.0000
4.5267 4.9730 0.0000
-1.7947 0.0000 8.8809
Pm Nd Y
4 2 6
Direct
0.1242 0.6285 0.8742 Pm
0.3715 0.8758 0.6258 Pm
0.6285 0.1242 0.3742 Pm
0.8758 0.3715 0.1258 Pm
0.4137 0.5863 0.2500 Nd
0.5863 0.4137 0.7500 Nd
0.0816 0.9184 0.2500 Y
0.1694 0.3356 0.5016 Y
0.3356 0.1694 0.0016 Y
0.6644 0.8306 0.9984 Y
0.8306 0.6644 0.4984 Y
0.9184 0.0816 0.7500 Y
```

Top 6 peaks for 2θ = 15–90°, in order of rising 2θ:
2θ = 31.20°, 2.867 Å, I 100
2θ = 44.70°, 2.027 Å, I 18
2θ = 55.48°, 1.656 Å, I 26
2θ = 62.06°, 1.496 Å, I 14
2θ = 73.87°, 1.283 Å, I 7
2θ = 79.64°, 1.204 Å, I 7

***

# 10
The following is a simulated powder diffraction line list of PmNd12Y6. It was derived from DFT lattice parameters and positions (PBE), using Cu Ka.
Intensities are scaled so that the largest is 100.

Cell and atoms:
```
PmNd12Y6
1.0
-5.4874 5.4874 5.4874
5.4874 -5.4874 5.4874
5.4874 5.4874 -5.4874
Pm Nd Y
1 12 6
Direct
0.0000 0.0000 0.0000 Pm
0.0658 0.8032 0.2625 Nd
0.1968 0.2625 0.4593 Nd
0.1968 0.7375 0.9342 Nd
0.2625 0.0658 0.8032 Nd
0.2625 0.4593 0.1968 Nd
0.4593 0.1968 0.2625 Nd
0.5407 0.8032 0.7375 Nd
0.7375 0.5407 0.8032 Nd
0.7375 0.9342 0.1968 Nd
0.8032 0.2625 0.0658 Nd
0.8032 0.7375 0.5407 Nd
0.9342 0.1968 0.7375 Nd
0.1438 0.6438 0.5000 Y
0.3562 0.5000 0.8562 Y
0.5000 0.1438 0.6438 Y
0.5000 0.8562 0.3562 Y
0.6438 0.5000 0.1438 Y
0.8562 0.3562 0.5000 Y
```

Top 6 peaks for 2θ = 15–90°, in order of rising 2θ:
2θ = 28.17°, 3.168 Å, I 64
2θ = 30.48°, 2.933 Å, I 100
2θ = 32.64°, 2.744 Å, I 46
2θ = 34.68°, 2.587 Å, I 20
2θ = 51.32°, 1.780 Å, I 28
2θ = 54.16°, 1.693 Å, I 15

***

# 11
The following is a simulated powder diffraction line list of Pm2Nd3Y3. It was derived from DFT lattice parameters and positions (PBE), using Cu Ka.
Intensities are scaled so that the largest is 100.

Cell and atoms:
```
Pm2Nd3Y3
1.0
5.6543 0.0000 0.0000
0.0000 16.2167 0.0000
-2.8220 0.0000 6.0171
Pm Nd Y
4 6 6
Direct
0.2219 0.1302 0.4423 Pm
0.2219 0.3698 0.4423 Pm
0.7781 0.6302 0.5577 Pm
0.7781 0.8698 0.5577 Pm
0.0747 0.5943 0.1491 Nd
0.0747 0.9057 0.1491 Nd
0.2604 0.7500 0.5227 Nd
0.7396 0.2500 0.4773 Nd
0.9253 0.0943 0.8509 Nd
0.9253 0.4057 0.8509 Nd
0.3776 0.5493 0.7568 Y
0.3776 0.9507 0.7568 Y
0.4627 0.2500 0.9261 Y
0.5373 0.7500 0.0739 Y
0.6224 0.0493 0.2432 Y
0.6224 0.4507 0.2432 Y
```

Top 6 peaks for 2θ = 15–90°, in order of rising 2θ:
2θ = 28.08°, 3.178 Å, I 36
2θ = 30.21°, 2.958 Å, I 17
2θ = 31.67°, 2.826 Å, I 60
2θ = 31.98°, 2.799 Å, I 100
2θ = 32.69°, 2.740 Å, I 43
2θ = 56.57°, 1.627 Å, I 20

***

# 12
The following is a simulated powder diffraction line list of PmNd5Y5. It was derived from DFT lattice parameters and positions (PBE), using Cu Ka.
Intensities are scaled so that the largest is 100.

Cell and atoms:
```
PmNd5Y5
1.0
6.9795 0.0000 0.0000
2.4451 6.5708 0.0000
2.3726 1.6573 8.3136
Pm Nd Y
1 5 5
Direct
0.0000 0.0000 0.0000 Pm
0.1489 0.1467 0.3657 Nd
0.2348 0.6454 0.2633 Nd
0.5000 0.0000 0.0000 Nd
0.7652 0.3546 0.7367 Nd
0.8511 0.8533 0.6343 Nd
0.0000 0.5000 0.0000 Y
0.3136 0.3233 0.6369 Y
0.3465 0.7800 0.7227 Y
0.6535 0.2200 0.2773 Y
0.6864 0.6767 0.3631 Y
```

Top 6 peaks for 2θ = 15–90°, in order of rising 2θ:
2θ = 31.08°, 2.878 Å, I 43
2θ = 31.14°, 2.872 Å, I 63
2θ = 31.66°, 2.826 Å, I 100
2θ = 31.77°, 2.817 Å, I 97
2θ = 32.30°, 2.771 Å, I 30
2θ = 45.43°, 1.996 Å, I 29